Starting from the GGA+U geometry in Alexandria, the X-ray powder pattern of NaMo2O7 was simulated for Cu Kα, 1.54184 Å.
Neutral-atom scattering factors, no anomalous dispersion.

Most intense lines, 10 to 90 degrees two-theta, by intensity:
5.187 Å, intensity 100; 3.838 Å, intensity 95; 3.012 Å, intensity 57; 3.063 Å, intensity 51; 3.085 Å, intensity 49; 1.749 Å, intensity 35; 1.965 Å, intensity 28; 1.919 Å, intensity 28; 2.174 Å, intensity 27; 1.759 Å, intensity 27

Crystal structure
abc: 6.127 10.374 3.838
angles: 90.00 90.00 90.00
Space group Cmmm (No. 65)
One atom of each set of equivalent atoms:
Na 0.000 0.000 0.000 (multiplicity 2)
Mo 0.000 0.299 0.500 (multiplicity 4)
O 0.000 0.297 0.000 (multiplicity 4)
O 0.000 0.500 0.500 (multiplicity 2)
O 0.193 0.140 0.500 (multiplicity 8)